# 1
# MgAsO3
Simulated powder diffractogram, Cu Kα, 1.54184 Å. Input: a crystal structure in Alexandria, relaxed with PBE.
Neutral-atom scattering factors, no anomalous dispersion.

Principal peaks in the range 10° ≤ 2θ ≤ 90°, in order of rising 2θ:
2θ 16.58, intensity 36.5; 2θ 20.34, intensity 100.0; 2θ 22.52, intensity 31.8; 2θ 33.52, intensity 25.9; 2θ 34.24, intensity 76.9; 2θ 38.27, intensity 43.4; 2θ 44.29, intensity 36.4; 2θ 57.14, intensity 16.3; 2θ 61.30, intensity 41.6; 2θ 68.33, intensity 19.2

```
data_MgAsO3
_cell_length_a 5.2381
_cell_length_b 5.2381
_cell_length_c 16.0390
_cell_angle_alpha 90.00
_cell_angle_beta 90.00
_cell_angle_gamma 120.00
_space_group_name_H-M_alt 'R -3'
_space_group_IT_number 148
_space_group_name_Hall '-R 3'
loop_
_atom_site_label
_atom_site_type_symbol
_atom_site_fract_x
_atom_site_fract_y
_atom_site_fract_z
Mg1 Mg 0.0000 0.0000 0.1611
As1 As 0.0000 0.0000 0.4291
O1 O 0.0033 0.6623 0.9146
```

=====

# 2
# MgAs4P4O16
Simulated powder diffractogram, Cu Kα, 1.54184 Å. Input: a crystal structure in Alexandria, relaxed with PBE.
Neutral-atom scattering factors, no anomalous dispersion.

Principal peaks in the range 10° ≤ 2θ ≤ 90°, in order of rising 2θ:
2θ 13.64, intensity 75.7; 2θ 19.89, intensity 77.0; 2θ 21.06, intensity 100.0; 2θ 21.48, intensity 39.2; 2θ 22.23, intensity 53.2; 2θ 26.58, intensity 52.9; 2θ 27.82, intensity 79.8; 2θ 29.46, intensity 63.8; 2θ 35.35, intensity 52.5; 2θ 35.54, intensity 42.5

```
data_MgAs4P4O16
_cell_length_a 8.4852
_cell_length_b 5.0777
_cell_length_c 8.9829
_cell_angle_alpha 90.00
_cell_angle_beta 96.24
_cell_angle_gamma 90.00
_space_group_name_H-M_alt 'P 1 m 1'
_space_group_IT_number 6
_space_group_name_Hall 'P -2y'
loop_
_atom_site_label
_atom_site_type_symbol
_atom_site_fract_x
_atom_site_fract_y
_atom_site_fract_z
Mg1 Mg 0.0000 0.0000 0.0000
As1 As 0.2207 0.0000 0.8108
As2 As 0.2296 0.0000 0.3726
As3 As 0.5731 0.5000 0.7950
As4 As 0.7092 0.5000 0.2734
P1 P 0.0492 0.5000 0.1978
P2 P 0.2147 0.5000 0.6469
P3 P 0.5783 0.0000 0.4425
P4 P 0.6926 0.0000 0.9573
O1 O 0.1129 0.2561 0.6797
O2 O 0.1532 0.2426 0.2172
O3 O 0.2701 0.5000 0.4921
O4 O 0.3568 0.5000 0.7804
O5 O 0.4307 0.0000 0.3119
O6 O 0.5222 0.0000 0.5936
O7 O 0.5767 0.2467 0.9434
O8 O 0.6833 0.2464 0.4146
O9 O 0.7856 0.0000 0.1147
O10 O 0.8088 0.0000 0.8407
O11 O 0.9294 0.5000 0.3211
O12 O 0.9729 0.5000 0.0382
```

=====

# 3
# MgAs4P4O16
Simulated powder diffractogram, Cu Kα, 1.54184 Å. Input: a crystal structure in Alexandria, relaxed with PBE.
Neutral-atom scattering factors, no anomalous dispersion.

Principal peaks in the range 10° ≤ 2θ ≤ 90°, in order of rising 2θ:
2θ 10.37, intensity 35.1; 2θ 20.84, intensity 100.0; 2θ 22.46, intensity 53.2; 2θ 22.64, intensity 64.2; 2θ 23.50, intensity 69.2; 2θ 24.16, intensity 37.2; 2θ 27.48, intensity 59.4; 2θ 30.12, intensity 42.0; 2θ 35.83, intensity 53.5; 2θ 37.04, intensity 61.8

```
data_MgAs4P4O16
_cell_length_a 8.5481
_cell_length_b 5.0147
_cell_length_c 8.5698
_cell_angle_alpha 90.00
_cell_angle_beta 95.16
_cell_angle_gamma 90.00
_space_group_name_H-M_alt 'P 1 m 1'
_space_group_IT_number 6
_space_group_name_Hall 'P -2y'
loop_
_atom_site_label
_atom_site_type_symbol
_atom_site_fract_x
_atom_site_fract_y
_atom_site_fract_z
Mg1 Mg 0.0000 0.0000 0.0000
As1 As 0.2392 0.5000 0.5709
As2 As 0.3678 0.0000 0.0729
As3 As 0.7765 0.5000 0.7754
As4 As 0.8395 0.0000 0.2512
P1 P 0.1674 0.5000 0.2194
P2 P 0.4131 0.0000 0.7449
P3 P 0.6423 0.5000 0.1087
P4 P 0.9224 0.0000 0.6613
O1 O 0.0045 0.5000 0.2692
O2 O 0.0712 0.0000 0.5801
O3 O 0.1936 0.2462 0.1140
O4 O 0.2783 0.0000 0.8673
O5 O 0.2988 0.5000 0.3634
O6 O 0.3893 0.2486 0.6354
O7 O 0.4738 0.5000 0.0334
O8 O 0.5669 0.0000 0.8433
O9 O 0.6721 0.2496 0.2109
O10 O 0.7601 0.0000 0.5834
O11 O 0.7727 0.5000 0.9857
O12 O 0.9378 0.2420 0.7952
```

=====

# 4
# MgAs4P4O16
Simulated powder diffractogram, Cu Kα, 1.54184 Å. Input: a crystal structure in Alexandria, relaxed with PBE.
Neutral-atom scattering factors, no anomalous dispersion.

Principal peaks in the range 10° ≤ 2θ ≤ 90°, in order of rising 2θ:
2θ 15.63, intensity 34.9; 2θ 20.61, intensity 100.0; 2θ 20.73, intensity 84.5; 2θ 22.13, intensity 50.8; 2θ 23.54, intensity 40.4; 2θ 27.25, intensity 96.6; 2θ 28.04, intensity 37.5; 2θ 30.29, intensity 39.1; 2θ 35.42, intensity 46.8; 2θ 36.12, intensity 60.4

```
data_MgAs4P4O16
_cell_length_a 8.6661
_cell_length_b 5.0689
_cell_length_c 8.7139
_cell_angle_alpha 90.00
_cell_angle_beta 98.53
_cell_angle_gamma 90.00
_space_group_name_H-M_alt 'P 1 m 1'
_space_group_IT_number 6
_space_group_name_Hall 'P -2y'
loop_
_atom_site_label
_atom_site_type_symbol
_atom_site_fract_x
_atom_site_fract_y
_atom_site_fract_z
Mg1 Mg 0.0000 0.0000 0.0000
As1 As 0.0841 0.5000 0.1957
As2 As 0.4552 0.0000 0.8199
As3 As 0.5837 0.5000 0.3405
As4 As 0.9515 0.0000 0.7062
P1 P 0.1699 0.5000 0.8366
P2 P 0.4018 0.0000 0.1619
P3 P 0.6404 0.5000 0.6947
P4 P 0.9252 0.0000 0.3060
O1 O 0.0639 0.5000 0.9792
O2 O 0.0769 0.0000 0.4107
O3 O 0.1219 0.2517 0.7394
O4 O 0.2306 0.0000 0.0928
O5 O 0.3417 0.5000 0.8981
O6 O 0.4347 0.2476 0.2687
O7 O 0.5154 0.0000 0.0366
O8 O 0.5203 0.5000 0.5346
O9 O 0.6048 0.2495 0.7889
O10 O 0.7639 0.0000 0.3475
O11 O 0.8062 0.5000 0.6668
O12 O 0.9308 0.2400 0.1737
```

=====

# 5
# Sr3MgAs2O8
Simulated powder diffractogram, Cu Kα, 1.54184 Å. Input: a crystal structure in Alexandria, relaxed with PBE.
Neutral-atom scattering factors, no anomalous dispersion.

Principal peaks in the range 10° ≤ 2θ ≤ 90°, in order of rising 2θ:
2θ 21.71, intensity 16.3; 2θ 30.36, intensity 67.9; 2θ 31.41, intensity 100.0; 2θ 41.19, intensity 19.3; 2θ 44.25, intensity 45.3; 2θ 55.27, intensity 26.1; 2θ 55.92, intensity 18.9; 2θ 63.16, intensity 12.2; 2θ 65.56, intensity 17.6; 2θ 73.94, intensity 11.4

```
data_Sr3MgAs2O8
_cell_length_a 5.6957
_cell_length_b 5.6957
_cell_length_c 7.3383
_cell_angle_alpha 90.00
_cell_angle_beta 90.00
_cell_angle_gamma 120.00
_space_group_name_H-M_alt 'P -3 m 1'
_space_group_IT_number 164
_space_group_name_Hall '-P 3 2"'
loop_
_atom_site_label
_atom_site_type_symbol
_atom_site_fract_x
_atom_site_fract_y
_atom_site_fract_z
Sr1 Sr 0.0000 0.0000 0.0000
Sr2 Sr 0.3333 0.6667 0.6368
Mg1 Mg 0.0000 0.0000 0.5000
As1 As 0.3333 0.6667 0.2049
O1 O 0.1682 0.3364 0.3245
O2 O 0.3333 0.6667 0.9550
```

=====

# 6
# SrMgAsO4
Simulated powder diffractogram, Cu Kα, 1.54184 Å. Input: a crystal structure in Alexandria, relaxed with PBE.
Neutral-atom scattering factors, no anomalous dispersion.

Principal peaks in the range 10° ≤ 2θ ≤ 90°, in order of rising 2θ:
2θ 18.33, intensity 17.6; 2θ 21.19, intensity 69.0; 2θ 30.15, intensity 100.0; 2θ 37.15, intensity 24.5; 2θ 48.56, intensity 26.0; 2θ 53.55, intensity 38.4; 2θ 62.69, intensity 19.1; 2θ 66.97, intensity 13.4; 2θ 71.12, intensity 16.1; 2θ 86.96, intensity 19.5

```
data_SrMgAsO4
_cell_length_a 8.3837
_cell_length_b 8.3837
_cell_length_c 8.3837
_cell_angle_alpha 90.00
_cell_angle_beta 90.00
_cell_angle_gamma 90.00
_space_group_name_H-M_alt 'F -4 3 m'
_space_group_IT_number 216
_space_group_name_Hall 'F -4 2 3'
loop_
_atom_site_label
_atom_site_type_symbol
_atom_site_fract_x
_atom_site_fract_y
_atom_site_fract_z
Sr1 Sr 0.0000 0.0000 0.0000
Mg1 Mg 0.2500 0.2500 0.7500
As1 As 0.0000 0.0000 0.5000
O1 O 0.1189 0.1189 0.6189
```

=====

# 7
# MgTaAsO6
Simulated powder diffractogram, Cu Kα, 1.54184 Å. Input: a crystal structure in Alexandria, relaxed with PBE.
Neutral-atom scattering factors, no anomalous dispersion.

Principal peaks in the range 10° ≤ 2θ ≤ 90°, in order of rising 2θ:
2θ 19.43, intensity 100.0; 2θ 20.23, intensity 56.1; 2θ 22.47, intensity 45.7; 2θ 28.19, intensity 97.8; 2θ 35.41, intensity 60.7; 2θ 40.71, intensity 85.6; 2θ 45.87, intensity 24.7; 2θ 54.05, intensity 68.3; 2θ 59.25, intensity 23.8; 2θ 63.58, intensity 24.9

```
data_MgTaAsO6
_cell_length_a 5.0692
_cell_length_b 5.0692
_cell_length_c 9.1352
_cell_angle_alpha 90.00
_cell_angle_beta 90.00
_cell_angle_gamma 120.00
_space_group_name_H-M_alt 'P -3 1 c'
_space_group_IT_number 163
_space_group_name_Hall '-P 3 2c'
loop_
_atom_site_label
_atom_site_type_symbol
_atom_site_fract_x
_atom_site_fract_y
_atom_site_fract_z
Mg1 Mg 0.0000 0.0000 0.0000
Ta1 Ta 0.3333 0.6667 0.2500
As1 As 0.3333 0.6667 0.7500
O1 O 0.0203 0.3679 0.6360
```